CaNdMn2O6: theoretical X-ray powder pattern (Cu Kα (weighted mean of Kα1 and Kα2)), based on a structure optimized by DFT (PBE+U).
Kinematic intensities with the Lorentz-polarization factor, no thermal factor.

The 8 most intense peaks (10 to 90 degrees two-theta), in order of falling intensity:
hkl	2θ/deg	I (rel.)
2 3 1	32.8	100
2 9 1	58.7	33
0 6 2	46.9	29
0 6 0	32.9	24
0 0 2	32.4	23
1 1 1	20.5	21
1 2 0	15.8	18
4 0 0	47.2	17

Atomic structure:
Lattice parameters (Å, degrees): 7.696 16.330 5.522 90.00 90.00 90.00
Fractional coordinates of all 60 atoms:
Ca1 0.000 0.079 0.000
Ca2 0.000 0.415 0.997
Ca3 0.000 0.585 0.497
Ca4 0.000 0.921 0.500
Ca5 0.500 0.247 0.406
Ca6 0.500 0.753 0.906
Nd1 0.000 0.253 0.496
Nd2 0.000 0.747 0.996
Nd3 0.500 0.089 0.906
Nd4 0.500 0.418 0.911
Nd5 0.500 0.582 0.411
Nd6 0.500 0.911 0.406
Mn1 0.247 0.083 0.452
Mn2 0.247 0.416 0.452
Mn3 0.247 0.584 0.952
Mn4 0.247 0.917 0.952
Mn5 0.248 0.249 0.954
Mn6 0.248 0.751 0.454
Mn7 0.752 0.249 0.954
Mn8 0.752 0.751 0.454
Mn9 0.753 0.083 0.452
Mn10 0.753 0.416 0.452
Mn11 0.753 0.584 0.952
Mn12 0.753 0.917 0.952
O1 0.000 0.110 0.432
O2 0.000 0.222 0.932
O3 0.000 0.443 0.429
O4 0.000 0.557 0.929
O5 0.000 0.778 0.432
O6 0.000 0.890 0.932
O7 0.206 0.346 0.741
O8 0.206 0.654 0.241
O9 0.209 0.321 0.239
O10 0.209 0.679 0.739
O11 0.213 0.015 0.748
O12 0.213 0.985 0.248
O13 0.290 0.153 0.165
O14 0.290 0.847 0.665
O15 0.293 0.180 0.662
O16 0.293 0.820 0.162
O17 0.298 0.489 0.171
O18 0.298 0.511 0.671
O19 0.500 0.056 0.468
O20 0.500 0.274 0.972
O21 0.500 0.390 0.472
O22 0.500 0.610 0.972
O23 0.500 0.726 0.472
O24 0.500 0.944 0.968
O25 0.702 0.489 0.171
O26 0.702 0.511 0.671
O27 0.707 0.180 0.662
O28 0.707 0.820 0.162
O29 0.710 0.153 0.165
O30 0.710 0.847 0.665
O31 0.787 0.015 0.748
O32 0.787 0.985 0.248
O33 0.791 0.321 0.239
O34 0.791 0.679 0.739
O35 0.794 0.346 0.741
O36 0.794 0.654 0.241